1.
The following is a theoretical powder X-ray diffraction pattern of ErCuW2O8. It was derived from a DFT-relaxed cell (GGA+U, the Materials Project), using Cu Kα X-rays.

Crystal structure
```
data_ErCuW2O8
_chemical_formula_sum 'Er2 Cu2 W4 O16'
_space_group_name_H-M_alt 'P 1 2/c 1'
_space_group_IT_number 13
_cell_length_a 5.082
_cell_length_b 5.985
_cell_length_c 10.985
_cell_angle_alpha 90.00
_cell_angle_beta 114.71
_cell_angle_gamma 90.00
loop_
_space_group_symop_operation_xyz
'x,y,z'
'-x,-y,-z'
'-x,y,-z+1/2'
'x,-y,z+1/2'
loop_
_atom_site_label
_atom_site_fract_x
_atom_site_fract_y
_atom_site_fract_z
Er1 0.000 0.166 0.250
Cu1 0.500 0.216 0.750
W1 0.238 0.331 0.989
O1 0.162 0.410 0.611
O2 0.217 0.134 0.112
O3 0.269 0.139 0.863
O4 0.339 0.385 0.403
```

Most intense lines, 15° ≤ 2θ ≤ 90°, low angle first:
index, Position (°2θ), d/Å, Rel. int.
0 1 2, 23.2, 3.832, 50
1 1 1, 28.7, 3.115, 100
1 1 -3, 29.7, 3.004, 88
1 2 -1, 34.8, 2.577, 41
2 0 -2, 35.4, 2.538, 29
0 0 4, 36.0, 2.495, 21
0 3 2, 49.2, 1.852, 27
2 0 2, 50.0, 1.825, 19
1 2 -5, 51.6, 1.771, 21
2 3 0, 61.5, 1.509, 23

=====

2.
The following is a theoretical powder X-ray diffraction pattern of ErCuW2O8. It was derived from a DFT-relaxed cell (GGA+U, the Materials Project), using Cu Kα X-rays.

Crystal structure
```
data_ErCuW2O8
_chemical_formula_sum 'Er1 Cu1 W2 O8'
_space_group_name_H-M_alt 'P 1'
_space_group_IT_number 1
_cell_length_a 5.157
_cell_length_b 6.056
_cell_length_c 6.072
_cell_angle_alpha 109.16
_cell_angle_beta 114.42
_cell_angle_gamma 91.72
loop_
_space_group_symop_operation_xyz
'x,y,z'
loop_
_atom_site_label
_atom_site_fract_x
_atom_site_fract_y
_atom_site_fract_z
Er1 0.000 0.000 0.000
Cu1 0.480 0.484 0.990
W1 0.239 0.661 0.485
W2 0.739 0.324 0.508
O1 0.015 0.671 0.686
O2 0.017 0.787 0.252
O3 0.443 0.508 0.288
O4 0.481 0.055 0.256
O5 0.517 0.918 0.741
O6 0.523 0.461 0.696
O7 0.957 0.321 0.301
O8 0.980 0.213 0.749
```

Most intense lines, 15° ≤ 2θ ≤ 90°, low angle first:
index, Position (°2θ), d/Å, Rel. int.
0 1 -1, 18.6, 4.780, 57
-1 1 1, 26.7, 3.333, 100
1 1 0, 27.3, 3.266, 95
0 1 1, 27.6, 3.231, 28
0 2 -1, 30.0, 2.975, 47
1 -1 1, 30.2, 2.963, 73
1 1 -2, 30.7, 2.911, 71
2 0 -1, 34.8, 2.577, 50
0 0 2, 35.0, 2.564, 56
2 0 -3, 50.2, 1.817, 46

=====

3.
The following is a theoretical powder X-ray diffraction pattern of ErCuW2O8. It was derived from a DFT-relaxed cell (GGA+U, the Materials Project), using Cu Kα X-rays.

Crystal structure
```
data_ErCuW2O8
_chemical_formula_sum 'Er1 Cu1 W2 O8'
_space_group_name_H-M_alt 'P -1'
_space_group_IT_number 2
_cell_length_a 5.140
_cell_length_b 6.060
_cell_length_c 6.084
_cell_angle_alpha 108.90
_cell_angle_beta 91.44
_cell_angle_gamma 114.40
loop_
_space_group_symop_operation_xyz
'x,y,z'
'-x,-y,-z'
loop_
_atom_site_label
_atom_site_fract_x
_atom_site_fract_y
_atom_site_fract_z
Er1 0.000 0.000 0.000
Cu1 0.500 0.000 0.500
W1 0.252 0.490 0.672
O1 0.020 0.256 0.794
O2 0.026 0.692 0.668
O3 0.459 0.296 0.525
O4 0.478 0.256 0.071
```

Most intense lines, 15° ≤ 2θ ≤ 90°, low angle first:
index, Position (°2θ), d/Å, Rel. int.
0 1 -1, 18.6, 4.772, 55
-1 1 1, 26.7, 3.336, 100
1 0 1, 27.1, 3.285, 97
0 1 -2, 30.0, 2.983, 47
1 1 -1, 30.3, 2.953, 71
1 -2 1, 30.8, 2.905, 70
2 -1 0, 34.9, 2.568, 85
2 -2 2, 47.2, 1.924, 32
0 2 -3, 48.3, 1.886, 28
1 2 1, 56.0, 1.642, 29